No. 1
# Na3Zr2Si2PO12
Theoretical PXRD pattern, a wavelength of 1.5418 Å. Input: DFT lattice parameters and positions (GGA-PBE).
Intensities are scaled so that the largest is 100.

```
data_Na3Zr2Si2PO12
_chemical_formula_sum 'Na6 Zr4 Si4 P2 O24'
_space_group_name_H-M_alt 'P 1'
_space_group_IT_number 1
_space_group_name_Hall 'P 1'
_cell_length_a 9.197
_cell_length_b 9.202
_cell_length_c 9.221
_cell_angle_alpha 89.98
_cell_angle_beta 60.26
_cell_angle_gamma 60.09
loop_
_atom_site_label
_atom_site_fract_x
_atom_site_fract_y
_atom_site_fract_z
Na1 0.000 0.000 0.000
Na2 0.004 0.221 0.499
Na3 0.378 0.351 0.966
Na4 0.488 0.634 0.755
Na5 0.497 0.124 0.261
Na6 0.608 0.739 0.052
Zr1 0.202 0.753 0.200
Zr2 0.207 0.251 0.696
Zr3 0.778 0.469 0.320
Zr4 0.794 0.955 0.815
Si1 0.278 0.072 0.022
Si2 0.295 0.857 0.509
Si3 0.708 0.356 0.996
Si4 0.997 0.650 0.005
P1 0.698 0.153 0.507
P2 0.995 0.561 0.507
O1 0.075 0.910 0.684
O2 0.077 0.237 0.204
O3 0.108 0.602 0.341
O4 0.138 0.476 0.833
O5 0.153 0.678 0.018
O6 0.156 0.384 0.505
O7 0.262 0.117 0.856
O8 0.292 0.886 0.025
O9 0.300 0.811 0.333
O10 0.302 0.032 0.507
O11 0.481 0.688 0.507
O12 0.482 0.040 0.997
O13 0.506 0.529 0.018
O14 0.521 0.175 0.507
O15 0.686 0.114 0.676
O16 0.688 0.188 0.990
O17 0.693 0.324 0.508
O18 0.724 0.383 0.162
O19 0.833 0.834 0.998
O20 0.838 0.538 0.510
O21 0.857 0.613 0.176
O22 0.877 0.717 0.675
O23 0.904 0.995 0.341
O24 0.910 0.322 0.815
```

The 6 most intense peaks (10 to 80 degrees two-theta), by intensity:
Position (°2θ)  intensity
19.29  100
19.20  99
33.74  87
30.66  64
30.54  63
27.39  37

No. 2
# SrNi2B2
Theoretical PXRD pattern, a wavelength of 1.5418 Å. Input: DFT lattice parameters and positions (GGA-PBE).
Intensities are scaled so that the largest is 100.

```
data_SrNi2B2
_chemical_formula_sum 'Sr4 Ni8 B8'
_space_group_name_H-M_alt 'P 1'
_space_group_IT_number 1
_space_group_name_Hall 'P 1'
_cell_length_a 3.212
_cell_length_b 7.712
_cell_length_c 11.138
_cell_angle_alpha 98.60
_cell_angle_beta 90.35
_cell_angle_gamma 90.11
loop_
_atom_site_label
_atom_site_fract_x
_atom_site_fract_y
_atom_site_fract_z
Sr1 0.000 0.000 0.000
Sr2 0.003 0.635 0.834
Sr3 0.499 0.151 0.486
Sr4 0.506 0.483 0.348
Ni1 0.000 0.533 0.596
Ni2 0.000 0.769 0.223
Ni3 0.002 0.865 0.612
Ni4 0.004 0.101 0.237
Ni5 0.499 0.629 0.073
Ni6 0.501 0.320 0.105
Ni7 0.502 0.316 0.728
Ni8 0.504 0.008 0.761
B1 0.001 0.508 0.125
B2 0.002 0.128 0.709
B3 0.005 0.365 0.989
B4 0.500 0.808 0.489
B5 0.501 0.695 0.609
B6 0.501 0.825 0.346
B7 0.503 0.939 0.225
B8 0.998 0.270 0.844
```

The 6 most intense peaks (10 to 80 degrees two-theta), by intensity:
Position (°2θ)  intensity
35.02  100
38.67  81
30.20  57
36.31  55
32.89  55
37.32  53

No. 3
# K2CO3
Theoretical PXRD pattern, a wavelength of 1.5418 Å. Input: DFT lattice parameters and positions (GGA-PBE).
Intensities are scaled so that the largest is 100.

```
data_K2CO3
_chemical_formula_sum 'K8 C4 O12'
_space_group_name_H-M_alt 'P 1'
_space_group_IT_number 1
_space_group_name_Hall 'P 1'
_cell_length_a 5.732
_cell_length_b 9.870
_cell_length_c 7.147
_cell_angle_alpha 90.00
_cell_angle_beta 97.33
_cell_angle_gamma 90.00
loop_
_atom_site_label
_atom_site_fract_x
_atom_site_fract_y
_atom_site_fract_z
K1 0.242 0.082 0.194
K2 0.242 0.418 0.694
K3 0.258 0.732 0.025
K4 0.258 0.768 0.525
K5 0.742 0.232 0.475
K6 0.742 0.268 0.975
K7 0.758 0.582 0.306
K8 0.758 0.918 0.806
C1 0.251 0.084 0.756
C2 0.251 0.416 0.256
C3 0.749 0.584 0.744
C4 0.749 0.916 0.244
O1 0.062 0.154 0.776
O2 0.062 0.346 0.276
O3 0.262 0.543 0.306
O4 0.262 0.957 0.806
O5 0.428 0.141 0.689
O6 0.428 0.359 0.189
O7 0.572 0.641 0.811
O8 0.572 0.859 0.311
O9 0.738 0.043 0.194
O10 0.738 0.457 0.694
O11 0.938 0.654 0.724
O12 0.938 0.846 0.224
```

The 6 most intense peaks (10 to 80 degrees two-theta), by intensity:
Position (°2θ)  intensity
31.43  100
32.72  46
31.06  36
37.30  32
29.37  31
42.31  24

No. 4
# TiP2O10
Theoretical PXRD pattern, a wavelength of 1.5418 Å. Input: DFT lattice parameters and positions (GGA-PBE).
Intensities are scaled so that the largest is 100.

```
data_TiP2O10
_chemical_formula_sum 'Ti4 P8 O40'
_space_group_name_H-M_alt 'P 1'
_space_group_IT_number 1
_space_group_name_Hall 'P 1'
_cell_length_a 5.292
_cell_length_b 6.400
_cell_length_c 24.183
_cell_angle_alpha 90.00
_cell_angle_beta 90.71
_cell_angle_gamma 90.00
loop_
_atom_site_label
_atom_site_fract_x
_atom_site_fract_y
_atom_site_fract_z
Ti1 0.244 0.000 0.437
Ti2 0.254 0.516 0.063
Ti3 0.746 0.016 0.937
Ti4 0.756 0.500 0.563
P1 0.249 0.014 0.028
P2 0.252 0.500 0.472
P3 0.252 0.880 0.870
P4 0.256 0.461 0.657
P5 0.744 0.961 0.343
P6 0.748 0.000 0.528
P7 0.748 0.380 0.130
P8 0.751 0.514 0.972
O1 0.004 0.012 0.992
O2 0.005 0.492 0.628
O3 0.013 0.005 0.877
O4 0.022 0.380 0.248
O5 0.024 0.499 0.512
O6 0.098 0.895 0.189
O7 0.196 0.918 0.767
O8 0.221 0.926 0.652
O9 0.241 0.695 0.435
O10 0.242 0.304 0.435
O11 0.254 0.652 0.864
O12 0.256 0.817 0.065
O13 0.257 0.209 0.064
O14 0.270 0.413 0.717
O15 0.317 0.880 0.206
O16 0.332 0.073 0.630
O17 0.475 0.011 0.988
O18 0.485 0.503 0.623
O19 0.491 0.009 0.872
O20 0.499 0.499 0.507
O21 0.501 0.999 0.493
O22 0.509 0.509 0.128
O23 0.515 0.003 0.377
O24 0.525 0.511 0.012
O25 0.668 0.573 0.370
O26 0.683 0.380 0.794
O27 0.730 0.913 0.283
O28 0.743 0.709 0.936
O29 0.744 0.317 0.935
O30 0.746 0.152 0.136
O31 0.758 0.804 0.565
O32 0.759 0.195 0.565
O33 0.779 0.426 0.348
O34 0.804 0.418 0.233
O35 0.902 0.395 0.811
O36 0.976 0.999 0.488
O37 0.978 0.880 0.752
O38 0.987 0.505 0.123
O39 0.995 0.992 0.372
O40 0.996 0.512 0.008
```

The 6 most intense peaks (10 to 80 degrees two-theta), by intensity:
Position (°2θ)  intensity
15.67  100
24.79  97
27.88  89
25.10  83
20.19  57
28.84  49

No. 5
# ErTmZn2
Theoretical PXRD pattern, a wavelength of 1.5418 Å. Input: DFT lattice parameters and positions (GGA-PBE).
Intensities are scaled so that the largest is 100.

```
data_ErTmZn2
_chemical_formula_sum 'Er1 Tm1 Zn2'
_space_group_name_H-M_alt 'P 1'
_space_group_IT_number 1
_space_group_name_Hall 'P 1'
_cell_length_a 5.005
_cell_length_b 5.005
_cell_length_c 5.005
_cell_angle_alpha 60.00
_cell_angle_beta 60.00
_cell_angle_gamma 60.00
loop_
_atom_site_label
_atom_site_fract_x
_atom_site_fract_y
_atom_site_fract_z
Er1 0.000 0.000 0.000
Tm1 0.500 0.500 0.500
Zn1 0.250 0.250 0.250
Zn2 0.750 0.750 0.750
```

The 6 most intense peaks (10 to 80 degrees two-theta), by intensity:
Position (°2θ)  intensity
35.89  100
64.50  36
25.17  20
51.66  18
76.07  11
58.30  8

No. 6
# GdAs2Pd3
Theoretical PXRD pattern, a wavelength of 1.5418 Å. Input: DFT lattice parameters and positions (GGA-PBE).
Intensities are scaled so that the largest is 100.

```
data_GdAs2Pd3
_chemical_formula_sum 'Gd3 As6 Pd9'
_space_group_name_H-M_alt 'P 1'
_space_group_IT_number 1
_space_group_name_Hall 'P 1'
_cell_length_a 8.407
_cell_length_b 8.407
_cell_length_c 9.750
_cell_angle_alpha 107.37
_cell_angle_beta 107.37
_cell_angle_gamma 27.56
loop_
_atom_site_label
_atom_site_fract_x
_atom_site_fract_y
_atom_site_fract_z
Gd1 0.000 0.000 0.000
Gd2 0.155 0.155 0.702
Gd3 0.845 0.845 0.298
As1 0.199 0.199 0.132
As2 0.364 0.364 0.545
As3 0.460 0.460 0.213
As4 0.540 0.540 0.787
As5 0.636 0.636 0.455
As6 0.801 0.801 0.868
Pd1 0.043 0.043 0.331
Pd2 0.221 0.221 0.391
Pd3 0.320 0.320 0.033
Pd4 0.378 0.378 0.802
Pd5 0.500 0.500 0.500
Pd6 0.622 0.622 0.198
Pd7 0.680 0.680 0.967
Pd8 0.779 0.779 0.609
Pd9 0.957 0.957 0.669
```

The 6 most intense peaks (10 to 80 degrees two-theta), by intensity:
Position (°2θ)  intensity
35.72  100
45.29  53
35.48  42
40.21  29
45.05  29
31.51  27

No. 7
# Na2Li2CuBr2O2
Theoretical PXRD pattern, a wavelength of 1.5418 Å. Input: DFT lattice parameters and positions (GGA-PBE).
Intensities are scaled so that the largest is 100.

```
data_Na2Li2CuBr2O2
_chemical_formula_sum 'Na2 Li2 Cu1 Br2 O2'
_space_group_name_H-M_alt 'P 1'
_space_group_IT_number 1
_space_group_name_Hall 'P 1'
_cell_length_a 10.996
_cell_length_b 10.996
_cell_length_c 10.996
_cell_angle_alpha 159.01
_cell_angle_beta 159.01
_cell_angle_gamma 29.85
loop_
_atom_site_label
_atom_site_fract_x
_atom_site_fract_y
_atom_site_fract_z
Na1 0.056 0.056 0.000
Na2 0.944 0.944 0.000
Li1 0.250 0.750 0.500
Li2 0.750 0.250 0.500
Cu1 0.500 0.500 0.000
Br1 0.320 0.320 0.000
Br2 0.680 0.680 0.000
O1 0.000 0.500 0.500
O2 0.500 0.000 0.500
```

The 6 most intense peaks (10 to 80 degrees two-theta), by intensity:
Position (°2θ)  intensity
30.67  100
31.59  58
25.55  46
25.15  41
22.59  41
45.28  38

No. 8
# Er5SbPt2
Theoretical PXRD pattern, a wavelength of 1.5418 Å. Input: DFT lattice parameters and positions (GGA-PBE).
Intensities are scaled so that the largest is 100.

```
data_Er5SbPt2
_chemical_formula_sum 'Er10 Sb2 Pt4'
_space_group_name_H-M_alt 'P 1'
_space_group_IT_number 1
_space_group_name_Hall 'P 1'
_cell_length_a 8.715
_cell_length_b 8.715
_cell_length_c 8.715
_cell_angle_alpha 127.71
_cell_angle_beta 127.71
_cell_angle_gamma 77.09
loop_
_atom_site_label
_atom_site_fract_x
_atom_site_fract_y
_atom_site_fract_z
Er1 0.000 0.000 0.000
Er2 0.022 0.522 0.820
Er3 0.202 0.022 0.500
Er4 0.298 0.798 0.820
Er5 0.478 0.298 0.500
Er6 0.500 0.500 0.000
Er7 0.522 0.702 0.500
Er8 0.702 0.202 0.180
Er9 0.798 0.978 0.500
Er10 0.978 0.478 0.180
Sb1 0.250 0.250 0.000
Sb2 0.750 0.750 0.000
Pt1 0.135 0.365 0.500
Pt2 0.365 0.865 0.229
Pt3 0.635 0.135 0.771
Pt4 0.865 0.635 0.500
```

The 6 most intense peaks (10 to 80 degrees two-theta), by intensity:
Position (°2θ)  intensity
32.68  100
37.01  50
12.99  21
42.33  21
35.21  20
69.02  16

No. 9
# TeMoWSeS2
Theoretical PXRD pattern, a wavelength of 1.5418 Å. Input: DFT lattice parameters and positions (GGA-PBE).
Intensities are scaled so that the largest is 100.

```
data_TeMoWSeS2
_chemical_formula_sum 'Te2 Mo2 W2 Se2 S4'
_space_group_name_H-M_alt 'P 1'
_space_group_IT_number 1
_space_group_name_Hall 'P 1'
_cell_length_a 3.308
_cell_length_b 3.308
_cell_length_c 37.695
_cell_angle_alpha 90.00
_cell_angle_beta 90.00
_cell_angle_gamma 120.00
loop_
_atom_site_label
_atom_site_fract_x
_atom_site_fract_y
_atom_site_fract_z
Te1 0.000 0.000 0.000
Te2 0.000 0.000 0.102
Mo1 0.000 0.000 0.863
Mo2 0.333 0.667 0.427
W1 0.000 0.000 0.239
W2 0.333 0.667 0.051
Se1 0.000 0.000 0.382
Se2 0.000 0.000 0.471
S1 0.333 0.667 0.198
S2 0.333 0.667 0.280
S3 0.333 0.667 0.823
S4 0.333 0.667 0.904
```

The 6 most intense peaks (10 to 80 degrees two-theta), by intensity:
Position (°2θ)  intensity
11.74  100
36.71  77
31.25  45
44.45  41
55.57  29
14.10  21

No. 10
# Pr2Zn5Sn
Theoretical PXRD pattern, a wavelength of 1.5418 Å. Input: DFT lattice parameters and positions (GGA-PBE).
Intensities are scaled so that the largest is 100.

```
data_Pr2Zn5Sn
_chemical_formula_sum 'Pr4 Zn10 Sn2'
_space_group_name_H-M_alt 'P 1'
_space_group_IT_number 1
_space_group_name_Hall 'P 1'
_cell_length_a 8.627
_cell_length_b 8.627
_cell_length_c 9.106
_cell_angle_alpha 90.00
_cell_angle_beta 90.00
_cell_angle_gamma 149.63
loop_
_atom_site_label
_atom_site_fract_x
_atom_site_fract_y
_atom_site_fract_z
Pr1 0.000 0.000 0.000
Pr2 0.000 0.000 0.500
Pr3 0.206 0.794 0.750
Pr4 0.794 0.206 0.250
Zn1 0.186 0.814 0.108
Zn2 0.186 0.814 0.392
Zn3 0.344 0.656 0.016
Zn4 0.344 0.656 0.484
Zn5 0.396 0.604 0.750
Zn6 0.604 0.396 0.250
Zn7 0.656 0.344 0.516
Zn8 0.656 0.344 0.984
Zn9 0.814 0.186 0.608
Zn10 0.814 0.186 0.892
Sn1 0.445 0.555 0.250
Sn2 0.555 0.445 0.750
```

The 6 most intense peaks (10 to 80 degrees two-theta), by intensity:
Position (°2θ)  intensity
32.24  100
33.42  58
39.90  47
36.05  36
28.34  35
44.20  28

No. 11
# Rb3Tc
Theoretical PXRD pattern, a wavelength of 1.5418 Å. Input: DFT lattice parameters and positions (GGA-PBE).
Intensities are scaled so that the largest is 100.

```
data_Rb3Tc
_chemical_formula_sum 'Rb3 Tc1'
_space_group_name_H-M_alt 'P 1'
_space_group_IT_number 1
_space_group_name_Hall 'P 1'
_cell_length_a 6.688
_cell_length_b 6.688
_cell_length_c 6.688
_cell_angle_alpha 60.00
_cell_angle_beta 60.00
_cell_angle_gamma 60.00
loop_
_atom_site_label
_atom_site_fract_x
_atom_site_fract_y
_atom_site_fract_z
Rb1 0.000 0.000 0.000
Rb2 0.250 0.250 0.250
Rb3 0.750 0.750 0.750
Tc1 0.500 0.500 0.500
```

The 6 most intense peaks (10 to 80 degrees two-theta), by intensity:
Position (°2θ)  intensity
26.66  100
47.07  41
75.17  20
38.05  19
62.06  18
54.91  13